1.
Starting from a cell relaxed with GGA-PBE, the powder X-ray diffraction pattern of Sr3Mg2Ag7 was calculated for Cu Ka.

The 10 most intense peaks (5 to 70 degrees two-theta), by angle:
2θ (°)  I (rel.)
19.26  24.2
28.35  30.5
31.05  39.5
34.59  69.0
35.06  37.9
35.65  100.0
38.20  54.2
39.09  28.3
56.65  25.0
61.69  34.8

Lattice parameters (Å, degrees): 9.850 9.850 9.850 35.55 35.55 35.55
Atoms (fractional coordinates):
Sr  0.000  0.000  0.000
Sr  0.141  0.141  0.141
Sr  0.859  0.859  0.859
Mg  0.332  0.332  0.332
Mg  0.668  0.668  0.668
Ag  0.082  0.581  0.581
Ag  0.419  0.419  0.918
Ag  0.419  0.918  0.419
Ag  0.500  0.500  0.500
Ag  0.581  0.082  0.581
Ag  0.581  0.581  0.082
Ag  0.918  0.419  0.419

=====

2.
Starting from a cell relaxed with GGA-PBE, the powder X-ray diffraction pattern of Pm5PrZn6 was calculated for Cu Ka.

The 10 most intense peaks (5 to 70 degrees two-theta), by angle:
2θ (°)  I (rel.)
24.24  11.6
24.33  5.7
34.57  100.0
34.65  19.9
42.70  5.3
49.65  14.2
49.86  7.0
56.00  4.3
61.93  28.8
62.07  14.3

Lattice parameters (Å, degrees): 5.178 7.346 8.192 90.00 108.21 90.00
Atoms (fractional coordinates):
Pm  0.000  0.000  0.000
Pm  0.333  0.500  0.666
Pm  0.334  0.000  0.668
Pm  0.666  0.000  0.332
Pm  0.667  0.500  0.334
Pr  0.000  0.500  0.000
Zn  0.168  0.248  0.336
Zn  0.168  0.752  0.336
Zn  0.500  0.247  0.000
Zn  0.500  0.753  0.000
Zn  0.832  0.248  0.664
Zn  0.832  0.752  0.664

=====

3.
Starting from a cell relaxed with GGA-PBE, the powder X-ray diffraction pattern of K3F5 was calculated for Cu Ka.

The 10 most intense peaks (5 to 70 degrees two-theta), by angle:
2θ (°)  I (rel.)
25.01  12.9
31.13  100.0
33.28  51.6
40.19  28.5
40.93  61.9
45.42  13.6
49.45  23.1
51.07  9.4
53.26  10.2
61.46  7.3

Lattice parameters (Å, degrees): 11.150 7.277 9.091 85.11 40.56 54.32
Atoms (fractional coordinates):
K  0.000  0.000  0.000
K  0.250  0.250  0.250
K  0.364  0.655  0.302
K  0.571  0.948  0.595
K  0.655  0.364  0.679
K  0.948  0.571  0.886
F  0.013  0.215  0.695
F  0.016  0.769  0.376
F  0.173  0.555  0.035
F  0.215  0.013  0.077
F  0.405  0.405  0.595
F  0.411  0.874  0.481
F  0.555  0.173  0.237
F  0.655  0.655  0.845
F  0.769  0.016  0.839
F  0.874  0.411  0.234

=====

4.
Starting from a cell relaxed with GGA-PBE, the powder X-ray diffraction pattern of Gd2HO was calculated for Cu Ka.

The 10 most intense peaks (5 to 70 degrees two-theta), by angle:
2θ (°)  I (rel.)
31.06  100.0
31.25  32.0
36.07  84.5
51.80  30.0
52.06  28.2
61.64  14.7
61.76  28.5
61.99  13.4
64.75  15.0
65.19  4.5

Lattice parameters (Å, degrees): 6.076 6.076 6.076 33.77 33.77 33.77
Atoms (fractional coordinates):
Gd  0.246  0.246  0.246
Gd  0.754  0.754  0.754
H  0.000  0.000  0.000
O  0.500  0.500  0.500